Structure and computed powder diffraction line list of Na2TiNbSi2PO12 (a crystal structure in the Materials Project, relaxed with PBE; Cu Ka).
Neutral-atom scattering factors, no anomalous dispersion.

Principal peaks in the range 2θ = 10–90°, in order of rising 2θ:
2θ = 13.93°, intensity 566, hkl 1 1 -1
2θ = 19.53°, intensity 421, hkl 2 0 -2
2θ = 19.64°, intensity 508, hkl 1 1 1
2θ = 19.94°, intensity 1000, hkl 3 1 -1
2θ = 23.24°, intensity 622, hkl 0 2 1
2θ = 23.32°, intensity 294, hkl 3 1 0
2θ = 28.06°, intensity 353, hkl 2 2 -2
2θ = 31.18°, intensity 372, hkl 3 1 -3
2θ = 31.33°, intensity 767, hkl 0 2 2
2θ = 34.90°, intensity 504, hkl 3 3 -1

Crystal structure
Cell lengths 15.4381, 8.8981, 9.0939 Å; angles 90.00, 124.87, 90.00 degrees
Space group Cc (No. 9)
Asymmetric unit:
1 Na 0.0000 0.0606 0.0000 x4
2 Na 0.0696 0.2698 0.7350 x4
3 Ti 0.4181 0.2538 0.8125 x4
4 Nb 0.2113 0.2496 0.1828 x4
5 Si 0.1713 0.1123 0.4990 x4
6 Si 0.3176 0.4599 0.0032 x4
7 P 0.4597 0.1016 0.5056 x4
8 O 0.0532 0.3165 0.0149 x4
9 O 0.0705 0.1847 0.4865 x4
10 O 0.1642 0.0719 0.0178 x4
11 O 0.1676 0.1373 0.3167 x4
12 O 0.2350 0.3552 0.0145 x4
13 O 0.2491 0.4273 0.3305 x4
14 O 0.2817 0.1810 0.6688 x4
15 O 0.3599 0.1756 0.3355 x4
16 O 0.3945 0.4372 0.6824 x4
17 O 0.3980 0.3586 0.9808 x4
18 O 0.4619 0.1385 0.6716 x4
19 O 0.4649 0.0670 0.9840 x4